# Sr3Ni2Os2
Simulated powder diffraction line list, λ = 1.5418 Å (Cu Kα). Input: a structure optimized by DFT (PBE).

Top 12 peaks for 5 to 70 degrees two-theta, in order of rising 2θ:
2θ (°)	I/Imax
6.9	100.0
13.9	78.1
25.3	55.0
27.5	39.0
29.9	17.8
31.3	72.1
35.2	20.1
39.7	60.6
43.9	74.7
46.2	23.4
57.5	29.4
60.6	17.6

Crystal structure
```
Sr3Ni2Os2
1.0
2.0642 1.1917 12.7336
-2.0642 1.1917 12.7336
0.0000 -2.3835 12.7336
Sr Ni Os
3 2 2
direct
0.0000 0.0000 0.0000
0.2336 0.2336 0.2336
0.7613 0.7613 0.7613
0.4927 0.4927 0.4927
0.8361 0.8361 0.8361
0.1525 0.1525 0.1525
0.6188 0.6188 0.6188
```

=====

# Tc2NiOs
Simulated powder diffraction line list, λ = 1.5418 Å (Cu Kα). Input: a structure optimized by DFT (PBE).

Top 8 peaks for 5 to 70 degrees two-theta, in order of rising 2θ:
2θ (°)	I/Imax
25.5	10.3
29.6	9.3
42.3	100.0
50.1	5.4
52.5	2.7
61.4	16.3
67.6	2.3
69.6	3.6

Crystal structure
```
Tc2NiOs
1.0
0.0000 3.0214 3.0214
3.0214 0.0000 3.0214
3.0214 3.0214 0.0000
Tc Ni Os
2 1 1
direct
0.0000 0.0000 0.0000
0.2500 0.2500 0.2500
0.5000 0.5000 0.5000
0.7500 0.7500 0.7500
```

=====

# ZnNi2Os
Simulated powder diffraction line list, λ = 1.5418 Å (Cu Kα). Input: a structure optimized by DFT (PBE).

Top 6 peaks for 5 to 70 degrees two-theta, in order of rising 2θ:
2θ (°)	I/Imax
26.5	24.7
30.7	11.5
43.9	100.0
52.0	12.6
54.5	3.3
63.8	15.9

Crystal structure
```
ZnNi2Os
1.0
0.0000 2.9169 2.9169
2.9169 0.0000 2.9169
2.9169 2.9169 0.0000
Zn Ni Os
1 2 1
direct
0.0000 0.0000 0.0000
0.5000 0.5000 0.5000
0.7500 0.7500 0.7500
0.2500 0.2500 0.2500
```